Record 1
Structure and theoretical powder diffractogram of ScGa2Cu5 (a GGA-PBE-relaxed structure; CuKα).
Intensities are scaled so that the largest is 100.

Largest 12 diffraction maxima, by angle, 10 to 90 degrees two-theta:
| 2θ (°) | intensity | (hkl) |
| --- | --- | --- |
| 14.8 | 4 | 0 0 1 |
| 20.8 | 1 | 1 0 0 |
| 25.6 | 1 | 1 0 1 |
| 42.3 | 52 | 2 0 0 |
| 42.4 | 100 | 1 1 2 |
| 45.0 | 1 | 2 0 1 |
| 55.0 | 2 | 1 1 3 |
| 61.3 | 16 | 2 2 0 |
| 61.8 | 7 | 0 0 4 |
| 77.4 | 30 | 3 1 2 |
| 77.7 | 14 | 2 0 4 |
| 87.0 | 1 | 3 1 3 |

Crystal structure
abc: 4.275 4.275 6.004
angles: 90.00 90.00 90.00
Space group P4/mmm (No. 123)
Unique sites:
Sc  0.000  0.000  0.000
Ga  0.000  0.000  0.500
Ga  0.500  0.500  0.000
Cu  0.000  0.500  0.268
Cu  0.500  0.500  0.500

=====

Record 2
Structure and theoretical powder diffractogram of HfZrGa2Au2 (a GGA-PBE-relaxed structure; CuKα).
Intensities are scaled so that the largest is 100.

Largest 12 diffraction maxima, by angle, 10 to 90 degrees two-theta:
| 2θ (°) | intensity | (hkl) |
| --- | --- | --- |
| 13.1 | 13 | 0 0 1 |
| 23.5 | 22 | 1 0 0 |
| 27.0 | 10 | 1 0 1 |
| 35.6 | 100 | 1 0 2 |
| 41.4 | 74 | 1 1 0 |
| 46.8 | 20 | 1 0 3 |
| 55.7 | 28 | 2 0 2 |
| 70.3 | 15 | 1 1 4 |
| 71.7 | 26 | 2 1 2 |
| 75.5 | 13 | 3 0 0 |
| 79.3 | 9 | 2 1 3 |
| 89.9 | 9 | 2 2 0 |

Crystal structure
abc: 4.3644 4.3644 6.7798
angles: 90.00 90.00 120.00
Space group P-6m2 (No. 187)
Unique sites:
Hf  0.0000  0.0000  0.0000
Zr  0.0000  0.0000  0.5000
Ga  0.6667  0.3333  0.2851
Au  0.3333  0.6667  0.2103